No. 1
Diffraction record for BaEuCo4O12. The X-ray powder pattern is theoretical, not measured: it uses a crystal structure in the Materials Project, relaxed with GGA+U and Cu Kα, 1.54184 Å.

Peak list (6 most intense, 2θ = 5–70°, low angle first)
(hkl)  two_theta  I/Imax
1 0 1  20.14  86.4
2 0 0  33.18  100.0
2 1 1  39.12  46.6
2 2 0  47.68  27.3
2 1 3  52.20  20.5
3 1 2  59.31  25.3

Cell lengths 5.3949, 5.3949, 7.6543 Å; angles 90.00, 90.00, 90.00 degrees
Space group P4/mmm (No. 123)
Inequivalent atoms, fractional coordinates:
Ba 0.0000 0.0000 0.0000 (multiplicity 1)
Eu 0.5000 0.5000 0.5000 (multiplicity 1)
Co 0.0000 0.5000 0.2478 (multiplicity 4)
O 0.0000 0.5000 0.0000 (multiplicity 2)
O 0.0000 0.5000 0.5000 (multiplicity 2)
O 0.2615 0.2615 0.2709 (multiplicity 8)

---

No. 2
Diffraction record for Ti3MnCrP6O24. The X-ray powder pattern is theoretical, not measured: it uses a crystal structure in the Materials Project, relaxed with GGA+U and Cu Kα, 1.54184 Å.

Peak list (6 most intense, 2θ = 5–70°, low angle first)
(hkl)  two_theta  I/Imax
1 1 0  20.54  57.1
1 1 3  24.15  100.0
3 -1 1  31.87  20.8
1 1 6  32.81  34.9
3 0 0  35.94  21.6
1 2 8  47.06  20.4

Cell lengths 8.6567, 8.6567, 21.1013 Å; angles 90.00, 90.00, 120.00 degrees
Space group R3 (No. 146, hexagonal axes)
Inequivalent atoms, fractional coordinates:
Ti 0.0000 0.0000 0.0000 (multiplicity 3)
Ti 0.0000 0.0000 0.2188 (multiplicity 3)
Ti 0.0000 0.0000 0.7296 (multiplicity 3)
Mn 0.0000 0.0000 0.3652 (multiplicity 3)
Cr 0.0000 0.0000 0.5094 (multiplicity 3)
P 0.0048 0.7129 0.1130 (multiplicity 9)
P 0.0492 0.3782 0.2834 (multiplicity 9)
O 0.0006 0.1925 0.5551 (multiplicity 9)
O 0.0022 0.8129 0.1740 (multiplicity 9)
O 0.0115 0.8197 0.0545 (multiplicity 9)
O 0.0216 0.8282 0.7821 (multiplicity 9)
O 0.0269 0.1867 0.2863 (multiplicity 9)
O 0.1544 0.4772 0.3425 (multiplicity 9)
O 0.1608 0.4732 0.6158 (multiplicity 9)
O 0.1739 0.6918 0.1109 (multiplicity 9)

---

No. 3
Diffraction record for MgFeP2O7. The X-ray powder pattern is theoretical, not measured: it uses a crystal structure in the Materials Project, relaxed with GGA+U and Cu Kα, 1.54184 Å.

Peak list (6 most intense, 2θ = 5–70°, low angle first)
(hkl)  two_theta  I/Imax
2 0 0  27.04  31.5
0 2 -2  28.02  100.0
2 -1 1  28.33  41.0
0 1 3  29.19  28.9
-1 1 3  29.93  43.6
2 1 -1  32.58  27.7

Cell lengths 6.7896, 7.1224, 11.4367 Å; angles 99.48, 92.91, 102.76 degrees
Space group P-1 (No. 2)
Inequivalent atoms, fractional coordinates:
Mg 0.1639 0.2688 0.1538 (multiplicity 2)
Mg 0.1635 0.7688 0.6538 (multiplicity 2)
Fe 0.3068 0.3497 0.5441 (multiplicity 2)
Fe 0.3076 0.8493 0.0442 (multiplicity 2)
P 0.1807 0.1266 0.8845 (multiplicity 2)
P 0.1816 0.6267 0.3845 (multiplicity 2)
P 0.3647 0.0154 0.3214 (multiplicity 2)
P 0.3647 0.5150 0.8213 (multiplicity 2)
O 0.0392 0.1991 0.9739 (multiplicity 2)
O 0.0401 0.6990 0.4741 (multiplicity 2)
O 0.0767 0.9371 0.7984 (multiplicity 2)
O 0.0778 0.4372 0.2986 (multiplicity 2)
O 0.2466 0.2835 0.7998 (multiplicity 2)
O 0.2466 0.7839 0.2999 (multiplicity 2)
O 0.2520 0.1256 0.4098 (multiplicity 2)
O 0.2523 0.6255 0.9098 (multiplicity 2)
O 0.3271 0.5600 0.6944 (multiplicity 2)
O 0.3279 0.0602 0.1945 (multiplicity 2)
O 0.3699 0.0998 0.9532 (multiplicity 2)
O 0.3711 0.6005 0.4532 (multiplicity 2)
O 0.4144 0.4729 0.1437 (multiplicity 2)
O 0.4143 0.9724 0.6432 (multiplicity 2)

---

No. 4
Diffraction record for CaV2O4. The X-ray powder pattern is theoretical, not measured: it uses a crystal structure in the Materials Project, relaxed with GGA+U and Cu Kα, 1.54184 Å.

Peak list (6 most intense, 2θ = 5–70°, low angle first)
(hkl)  two_theta  I/Imax
2 0 0  28.46  51.2
1 2 1  33.42  100.0
1 0 3  33.52  97.1
2 2 0  40.64  46.3
3 2 1  53.69  44.5
2 2 4  58.85  62.9

Cell lengths 6.2630, 6.3031, 8.8688 Å; angles 90.00, 90.00, 90.00 degrees
Space group Imma (No. 74)
Inequivalent atoms, fractional coordinates:
Ca 0.2500 0.2500 0.2500 (multiplicity 4)
V 0.0000 0.0000 0.0000 (multiplicity 4)
V 0.0000 0.2500 0.6350 (multiplicity 4)
O 0.0000 0.0099 0.7724 (multiplicity 8)
O 0.2339 0.2500 0.9911 (multiplicity 8)

---

No. 5
Diffraction record for Na4Fe2O5. The X-ray powder pattern is theoretical, not measured: it uses a crystal structure in the Materials Project, relaxed with GGA+U and Cu Kα, 1.54184 Å.

Peak list (6 most intense, 2θ = 5–70°, low angle first)
(hkl)  two_theta  I/Imax
0 0 2  15.28  56.8
2 1 -2  25.20  61.5
2 0 2  32.20  77.1
1 2 1  35.02  100.0
1 1 -5  38.34  76.6
4 1 -2  42.40  58.7

Cell lengths 9.2543, 5.7727, 13.1265 Å; angles 90.00, 117.93, 90.00 degrees
Space group P2_1/c (No. 14)
Inequivalent atoms, fractional coordinates:
Na 0.1063 0.1142 0.1220 (multiplicity 4)
Na 0.2024 0.5893 0.0378 (multiplicity 4)
Na 0.3055 0.0733 0.9671 (multiplicity 4)
Na 0.3703 0.6194 0.8668 (multiplicity 4)
Fe 0.0426 0.6146 0.1995 (multiplicity 4)
Fe 0.4559 0.1581 0.7966 (multiplicity 4)
O 0.0534 0.2386 0.9427 (multiplicity 4)
O 0.0805 0.6705 0.8233 (multiplicity 4)
O 0.2590 0.5187 0.2388 (multiplicity 4)
O 0.3879 0.0667 0.2003 (multiplicity 4)
O 0.4686 0.7403 0.0530 (multiplicity 4)

---

No. 6
Diffraction record for Li4FeCu3O8. The X-ray powder pattern is theoretical, not measured: it uses a crystal structure in the Materials Project, relaxed with GGA+U and Cu Kα, 1.54184 Å.

Peak list (6 most intense, 2θ = 5–70°, low angle first)
(hkl)  two_theta  I/Imax
0 0 3  18.37  100.0
0 2 1  35.83  47.0
2 0 2  37.46  17.5
0 2 4  43.46  77.3
2 0 8  62.99  21.3
2 2 0  63.31  21.5

Cell lengths 5.8760, 5.8760, 14.4902 Å; angles 90.00, 90.00, 120.00 degrees
Space group R-3m (No. 166, hexagonal axes)
Inequivalent atoms, fractional coordinates:
Li 0.0000 0.0000 0.0000 (multiplicity 3)
Li 0.0000 0.5000 0.0000 (multiplicity 9)
Fe 0.0000 0.0000 0.5000 (multiplicity 3)
Cu 0.0000 0.5000 0.5000 (multiplicity 9)
O 0.0000 0.0000 0.2425 (multiplicity 6)
O 0.0001 0.5000 0.2442 (multiplicity 18)

---

No. 7
Diffraction record for V2Pb2O7. The X-ray powder pattern is theoretical, not measured: it uses a crystal structure in the Materials Project, relaxed with GGA+U and Cu Kα, 1.54184 Å.

Peak list (6 most intense, 2θ = 5–70°, low angle first)
(hkl)  two_theta  I/Imax
1 1 0  17.60  35.1
1 1 2  24.49  43.8
0 2 1  25.12  100.0
2 0 -2  25.28  38.5
0 0 4  27.16  62.4
2 1 -2  28.08  53.0

Cell lengths 7.2446, 7.3622, 13.7579 Å; angles 90.00, 107.34, 90.00 degrees
Space group P2_1/c (No. 14)
Inequivalent atoms, fractional coordinates:
V 0.1150 0.1751 0.4154 (multiplicity 4)
V 0.2936 0.0665 0.1112 (multiplicity 4)
Pb 0.1747 0.6681 0.3436 (multiplicity 4)
Pb 0.4513 0.6037 0.1305 (multiplicity 4)
O 0.1014 0.2097 0.0303 (multiplicity 4)
O 0.1077 0.5954 0.1571 (multiplicity 4)
O 0.2116 0.1761 0.8481 (multiplicity 4)
O 0.2176 0.5088 0.7087 (multiplicity 4)
O 0.2804 0.5038 0.9506 (multiplicity 4)
O 0.3426 0.6158 0.5431 (multiplicity 4)
O 0.4961 0.6927 0.3343 (multiplicity 4)